Simulated powder XRD pattern
Compound: CeTm5In4
Radiation: Cu Kα, 1.54184 Å
Structure: a PBE-relaxed structure
No peak broadening, texture or thermal motion is included.

Main lines, low angle first (2θ from 10° to 80°):
25.61 deg, rel. 2
32.92 deg, rel. 100
36.54 deg, rel. 40
41.34 deg, rel. 12
52.63 deg, rel. 14
56.34 deg, rel. 19
63.49 deg, rel. 30
69.04 deg, rel. 10
70.06 deg, rel. 8
77.65 deg, rel. 4

Atomic structure:
```
CeTm5In4
1.0
3.4779 0.0000 0.0000
0.0000 3.4779 0.0000
0.0000 0.0000 21.8397
Ce Tm In
1 5 4
Cartesian
0.0000 0.0000 0.0000
1.7390 1.7390 2.4281
1.7390 1.7390 6.6710
1.7390 1.7390 10.9198
1.7390 1.7390 15.1687
1.7390 1.7390 19.4115
0.0000 0.0000 4.5373
0.0000 0.0000 8.7933
0.0000 0.0000 13.0464
0.0000 0.0000 17.3024
```

---

Simulated powder XRD pattern
Compound: Ir4Pb5
Radiation: Cu Kα, 1.54184 Å
Structure: a PBE-relaxed structure
No peak broadening, texture or thermal motion is included.

Main lines, low angle first (2θ from 10° to 80°):
28.05 deg, rel. 9
35.46 deg, rel. 100
35.72 deg, rel. 55
37.26 deg, rel. 58
47.48 deg, rel. 19
52.38 deg, rel. 20
54.76 deg, rel. 16
57.98 deg, rel. 11
66.03 deg, rel. 14
70.97 deg, rel. 18

Atomic structure:
```
Ir4Pb5
1.0
8.3597 0.0000 0.0000
-4.1799 7.2397 0.0000
0.0000 0.0000 6.3626
Ir Pb
8 10
Cartesian
0.0000 0.0000 0.0000
0.0000 0.0000 3.1813
-1.6798 2.9096 1.5907
-2.5000 4.3302 4.7720
3.3597 0.0000 1.5907
1.6798 2.9096 4.7720
5.0000 0.0000 4.7720
2.5000 4.3302 1.5907
-1.1404 1.9752 4.7720
-3.0395 5.2645 1.5907
2.2808 0.0000 4.7720
1.1404 1.9752 1.5907
0.0000 4.8265 0.0000
0.0000 4.8265 3.1813
4.1799 2.4132 0.0000
4.1799 2.4132 3.1813
6.0789 0.0000 1.5907
3.0395 5.2645 4.7720
```

---

Simulated powder XRD pattern
Compound: KSn2Au4
Radiation: Cu Kα, 1.54184 Å
Structure: a PBE-relaxed structure
No peak broadening, texture or thermal motion is included.

Main lines, low angle first (2θ from 10° to 80°):
13.75 deg, rel. 49
19.49 deg, rel. 16
31.05 deg, rel. 56
39.31 deg, rel. 100
39.57 deg, rel. 25
42.09 deg, rel. 25
48.77 deg, rel. 8
53.00 deg, rel. 15
64.54 deg, rel. 35
75.05 deg, rel. 8

Atomic structure:
```
KSn2Au4
1.0
-4.5545 4.5545 4.1583
4.5545 -4.5545 4.1583
4.5545 4.5545 -4.1583
K Sn Au
2 4 8
Cartesian
0.0000 0.0000 2.0791
0.0000 0.0000 6.2374
5.8409 1.2864 0.0000
1.2864 3.2681 0.0000
3.2681 1.2864 4.1583
-1.2864 3.2681 4.1583
5.8955 -1.4278 1.3796
3.1268 -1.3410 2.7787
3.2135 1.4278 1.3796
5.9823 1.3410 2.7787
-1.3410 3.1268 1.3796
1.4278 3.2135 2.7787
1.3410 5.9823 1.3796
-1.4278 5.8955 2.7787
```

---

Simulated powder XRD pattern
Compound: InIrSe3
Radiation: Cu Kα, 1.54184 Å
Structure: a PBE-relaxed structure
No peak broadening, texture or thermal motion is included.

Main lines, low angle first (2θ from 10° to 80°):
14.48 deg, rel. 39
21.58 deg, rel. 29
22.22 deg, rel. 44
29.17 deg, rel. 100
29.58 deg, rel. 55
41.61 deg, rel. 51
42.00 deg, rel. 33
43.42 deg, rel. 44
47.71 deg, rel. 32
48.63 deg, rel. 27

Atomic structure:
```
InIrSe3
1.0
6.1292 -3.0648 0.0000
6.1292 3.0648 0.0000
-0.3938 0.0000 6.0397
In Ir Se
2 2 6
Cartesian
5.9322 1.8477 3.0198
6.1292 -1.8477 0.0000
8.6616 1.4972 2.7772
8.4647 -1.4972 5.7970
4.8742 1.7544 5.5938
3.2093 0.7765 2.0721
3.0124 -0.7765 5.0919
8.1836 0.7661 0.4716
5.0711 -1.7544 2.5739
7.9867 -0.7661 3.4915
```

---

Simulated powder XRD pattern
Compound: Nb2ZnO6
Radiation: Cu Kα, 1.54184 Å
Structure: a PBE-relaxed structure
No peak broadening, texture or thermal motion is included.

Main lines, low angle first (2θ from 10° to 80°):
23.98 deg, rel. 28
29.80 deg, rel. 100
30.57 deg, rel. 10
35.29 deg, rel. 13
35.41 deg, rel. 14
50.53 deg, rel. 14
52.44 deg, rel. 37
59.98 deg, rel. 15
62.89 deg, rel. 11
63.13 deg, rel. 13

Atomic structure:
```
Nb2ZnO6
1.0
14.4111 0.0000 0.0000
0.0000 5.8485 0.0000
0.0000 0.0000 5.0867
Nb Zn O
8 4 24
Cartesian
2.3078 1.0709 1.2545
2.3078 4.7775 3.7979
4.8978 1.8533 3.7979
4.8978 3.9952 1.2545
9.5133 1.8533 3.8322
9.5133 3.9952 1.2888
12.1033 1.0709 1.2888
12.1033 4.7775 3.8322
0.0000 1.9224 3.8151
0.0000 3.9261 1.2717
7.2055 1.0019 1.2717
7.2055 4.8466 3.8151
1.1390 2.2322 0.4397
1.1390 3.6163 2.9830
1.3872 0.6147 2.9059
1.3872 5.2337 0.3626
3.5274 0.7298 4.6698
3.5274 5.1187 2.1264
3.6781 2.1944 2.1264
3.6781 3.6540 4.6698
5.8183 2.3095 0.3626
5.8183 3.5389 2.9059
6.0665 0.6921 2.9830
6.0665 5.1564 0.4397
8.3446 0.6921 4.6471
8.3446 5.1564 2.1037
8.5927 2.3095 2.1808
8.5927 3.5389 4.7242
10.7329 2.1944 0.4170
10.7329 3.6540 2.9604
10.8837 0.7298 2.9604
10.8837 5.1187 0.4170
13.0239 0.6147 4.7242
13.0239 5.2337 2.1808
13.2720 2.2322 2.1037
13.2720 3.6163 4.6471
```

---

Simulated powder XRD pattern
Compound: VCrCuBr
Radiation: Cu Kα, 1.54184 Å
Structure: a PBE-relaxed structure
No peak broadening, texture or thermal motion is included.

Main lines, low angle first (2θ from 10° to 80°):
27.10 deg, rel. 74
29.38 deg, rel. 60
30.33 deg, rel. 29
38.50 deg, rel. 29
40.27 deg, rel. 45
40.52 deg, rel. 96
43.40 deg, rel. 100
47.03 deg, rel. 35
48.39 deg, rel. 42
72.43 deg, rel. 25

Atomic structure:
```
VCrCuBr
1.0
14.0371 0.0000 0.0000
0.0000 3.1143 0.0000
-0.0937 0.0000 3.2900
V Cr Cu Br
2 2 2 2
Cartesian
0.0000 0.0000 0.0000
7.0186 1.5572 0.0000
1.1696 1.5572 1.6826
8.1882 0.0000 1.6826
2.5841 0.0000 0.0794
9.6027 1.5572 0.0794
4.9445 0.0000 3.0666
11.9631 1.5572 3.0666
```

---

Simulated powder XRD pattern
Compound: TaV2Mo6W3
Radiation: Cu Kα, 1.54184 Å
Structure: a PBE-relaxed structure
No peak broadening, texture or thermal motion is included.

Main lines, low angle first (2θ from 10° to 80°):
40.13 deg, rel. 51
40.38 deg, rel. 100
40.48 deg, rel. 99
40.62 deg, rel. 49
58.27 deg, rel. 17
58.58 deg, rel. 33
73.01 deg, rel. 17
73.22 deg, rel. 17
73.39 deg, rel. 17
73.70 deg, rel. 33

Atomic structure:
```
TaV2Mo6W3
1.0
2.2471 -4.7275 0.0000
2.2471 4.7275 0.0000
-0.0434 0.0000 8.8832
Ta V Mo W
1 2 6 3
Cartesian
0.0000 0.0000 0.0000
2.2471 1.6049 0.0000
2.2471 -1.6049 0.0000
2.2124 3.1371 6.6786
2.2383 3.1371 2.2046
2.2386 0.0000 2.1862
2.2121 0.0000 6.6970
2.2124 -3.1371 6.6786
2.2383 -3.1371 2.2046
-0.0217 0.0000 4.4416
2.2254 1.5730 4.4416
2.2254 -1.5730 4.4416
```

---

Simulated powder XRD pattern
Compound: CsAcMgF6
Radiation: Cu Kα, 1.54184 Å
Structure: a PBE-relaxed structure
No peak broadening, texture or thermal motion is included.

Main lines, low angle first (2θ from 10° to 80°):
14.31 deg, rel. 30
16.99 deg, rel. 45
23.14 deg, rel. 43
25.63 deg, rel. 100
27.26 deg, rel. 18
28.16 deg, rel. 16
28.85 deg, rel. 34
35.49 deg, rel. 30
42.20 deg, rel. 30
47.33 deg, rel. 41

Atomic structure:
```
CsAcMgF6
1.0
-3.8446 4.1996 5.2177
3.8446 -4.1996 5.2177
3.8446 4.1996 -5.2177
Cs Ac Mg F
2 2 2 12
Cartesian
0.0000 2.0998 0.8764
3.8446 2.0998 4.3412
3.8446 0.0000 0.0000
0.0000 0.0000 5.2177
1.9223 2.0998 -2.6088
1.9223 -2.0998 2.6088
1.7762 -0.6463 1.2240
5.9130 -0.6463 1.2240
3.8446 2.0998 -1.9270
1.7762 3.5532 -1.2240
2.0684 -0.6463 3.9937
3.8446 2.0998 1.2628
0.0000 2.0998 3.9549
1.7762 4.8459 1.2240
2.0684 0.6463 6.4417
0.0000 2.0998 7.1447
-2.0684 4.8459 3.9937
2.0684 4.8459 3.9937
```